For Li8PuO6, a DFT-relaxed cell (PBE, Alexandria) gives the simulated XRD peak list in this record (Cu Kα (λ = 1.5418 Å)).

Peak list (8 most intense, 10° ≤ 2θ ≤ 90°, by angle)
2θ 16.14, intensity 37; 2θ 17.59, intensity 94; 2θ 23.96, intensity 100; 2θ 30.71, intensity 33; 2θ 34.88, intensity 24; 2θ 37.29, intensity 33; 2θ 39.32, intensity 30; 2θ 50.71, intensity 29

Atomic structure:
```
Li8PuO6
1.0
5.822 0.000 0.000
-2.911 5.042 0.000
0.000 0.000 10.985
Li Pu O
16 2 12
direct
0.000 0.318 0.000
0.000 0.424 0.358
0.000 0.576 0.858
0.000 0.682 0.500
0.318 0.000 0.000
0.318 0.318 0.500
0.333 0.667 0.135
0.333 0.667 0.635
0.424 0.000 0.358
0.424 0.424 0.858
0.576 0.000 0.858
0.576 0.576 0.358
0.667 0.333 0.135
0.667 0.333 0.635
0.682 0.000 0.500
0.682 0.682 0.000
0.000 0.000 0.226
0.000 0.000 0.726
0.000 0.000 0.420
0.000 0.000 0.920
0.000 0.346 0.181
0.000 0.654 0.681
0.333 0.667 0.445
0.333 0.667 0.945
0.346 0.000 0.181
0.346 0.346 0.681
0.654 0.000 0.681
0.654 0.654 0.181
0.667 0.333 0.445
0.667 0.333 0.945
```

For Li2PuO4, a DFT-relaxed cell (PBE, Alexandria) gives the simulated XRD peak list in this record (Cu Kα (λ = 1.5418 Å)).

Peak list (8 most intense, 10° ≤ 2θ ≤ 90°, by angle)
2θ 18.09, intensity 100; 2θ 21.62, intensity 30; 2θ 25.98, intensity 18; 2θ 31.84, intensity 49; 2θ 35.92, intensity 17; 2θ 39.50, intensity 22; 2θ 45.47, intensity 18; 2θ 53.48, intensity 19

Atomic structure:
```
Li2PuO4
1.0
-3.055 3.430 4.110
3.055 -3.430 4.110
3.055 3.430 -4.110
Li Pu O
4 2 8
direct
0.000 0.000 0.500
0.000 0.500 0.000
0.379 0.129 0.250
0.621 0.871 0.750
0.000 0.500 0.500
0.500 0.500 0.000
0.217 0.731 0.486
0.250 0.279 0.529
0.250 0.720 0.971
0.256 0.269 0.986
0.744 0.731 0.014
0.750 0.280 0.029
0.750 0.721 0.471
0.783 0.269 0.514
```

For LiPu4O12, a DFT-relaxed cell (PBE, Alexandria) gives the simulated XRD peak list in this record (Cu Kα (λ = 1.5418 Å)).

Peak list (8 most intense, 10° ≤ 2θ ≤ 90°, by angle)
2θ 21.98, intensity 100; 2θ 22.20, intensity 48; 2θ 31.29, intensity 31; 2θ 31.44, intensity 68; 2θ 38.70, intensity 31; 2θ 50.58, intensity 24; 2θ 50.90, intensity 22; 2θ 55.78, intensity 31

Atomic structure:
```
LiPu4O12
1.0
-4.004 4.041 4.045
4.004 -4.041 4.045
4.004 4.041 -4.045
Li Pu O
1 4 12
direct
0.000 0.000 0.000
0.000 0.000 0.500
0.000 0.500 0.000
0.500 0.000 0.000
0.500 0.500 0.500
0.004 0.194 0.810
0.234 0.299 0.533
0.234 0.701 0.935
0.271 0.567 0.296
0.271 0.975 0.704
0.384 0.194 0.190
0.616 0.806 0.810
0.729 0.025 0.296
0.729 0.433 0.704
0.766 0.299 0.065
0.766 0.701 0.467
0.996 0.806 0.190
```

For Rb2Li2PuO6, a DFT-relaxed cell (PBE, Alexandria) gives the simulated XRD peak list in this record (Cu Kα (λ = 1.5418 Å)).

Peak list (8 most intense, 10° ≤ 2θ ≤ 90°, by angle)
2θ 15.18, intensity 18; 2θ 17.77, intensity 100; 2θ 26.60, intensity 51; 2θ 29.72, intensity 57; 2θ 30.76, intensity 56; 2θ 40.30, intensity 32; 2θ 53.40, intensity 27; 2θ 56.31, intensity 22

Atomic structure:
```
Rb2Li2PuO6
1.0
3.006 1.736 5.838
-3.006 1.736 5.838
0.000 -3.471 5.838
Rb Li Pu O
2 2 1 6
direct
0.218 0.218 0.218
0.782 0.782 0.782
0.403 0.403 0.403
0.597 0.597 0.597
0.000 0.000 0.000
0.220 0.220 0.761
0.220 0.761 0.220
0.239 0.780 0.780
0.761 0.220 0.220
0.780 0.239 0.780
0.780 0.780 0.239
```